# Mg3AlGa
Calculated X-ray powder pattern, Cu Kα (λ = 1.5418 Å). Input: a cell relaxed with PBE.

Atomic structure:
Cell lengths 5.730, 6.078, 6.884 Å; angles 84.43, 68.11, 67.33 degrees
Atoms (fractional coordinates):
1 Mg 0.208 0.000 0.098
2 Mg 0.215 0.704 0.503
3 Mg 0.265 0.504 0.955
4 Mg 0.735 0.496 0.045
5 Mg 0.785 0.296 0.497
6 Mg 0.792 0.000 0.902
7 Al 0.222 0.186 0.685
8 Al 0.778 0.814 0.315
9 Ga 0.405 0.248 0.288
10 Ga 0.595 0.752 0.712

Peak list (8 most intense, 2θ from 10° to 90°, most intense first)
2θ/deg	d/Å	intensity
36.73	2.447	100
38.67	2.328	88
40.99	2.202	85
34.29	2.615	71
19.87	4.468	62
35.72	2.514	54
18.02	4.922	53
37.11	2.423	52